Theoretical powder diffractogram of Mn2B4Mo for λ = 1.5418 Å (Cu Kα), from a structure optimized by DFT (GGA-PBE).
Intensities are scaled so that the largest is 100.

Structure:
Unit cell a=6.7947 b=6.7947 c=6.7947 alpha=154.31 beta=153.74 gamma=37.07
Atoms (fractional coordinates):
Mn: 0.1865 0.1865 0.0000
Mn: 0.8135 0.8135 0.0000
B: 0.3523 0.3523 0.0000
B: 0.4278 0.9278 0.5000
B: 0.5722 0.0722 0.5000
B: 0.6477 0.6477 0.0000
Mo: 0.0000 0.5000 0.5000

Top 8 peaks for 2θ from 15° to 90°, low angle first:
2theta, d (Å), intensity
29.76, 3.002, 58
36.36, 2.471, 85
42.08, 2.147, 26
44.24, 2.047, 100
45.87, 1.978, 55
50.91, 1.794, 22
72.15, 1.309, 21
73.33, 1.291, 21